(1)
Calculated powder X-ray diffraction pattern
Compound: SmZn2Cd
Radiation: λ = 1.5418 Å (Cu Kα)
Structure: a structure optimized by DFT (PBE)
Kinematic intensities with the Lorentz-polarization factor, no thermal factor.

Main lines, low angle first (2θ = 10–90°):
2θ (°)	I (rel.)	index
22.30	2	1 1 1
25.81	11	2 0 0
36.82	100	2 2 0
45.51	3	2 2 2
53.06	17	4 0 0
59.91	4	4 2 0
66.32	34	4 2 2
78.34	10	4 4 0
84.13	2	6 0 0
89.85	15	6 2 0

Structure:
Cell lengths 6.904, 6.904, 6.904 Å; angles 90.00, 90.00, 90.00 degrees
Space group Fm-3m (No. 225)
Unique sites:
Sm  0.000  0.000  0.000 x4
Zn  0.250  0.250  0.250 x8
Cd  0.000  0.000  0.500 x4

=====

(2)
Calculated powder X-ray diffraction pattern
Compound: CdSn3
Radiation: λ = 1.5418 Å (Cu Kα)
Structure: a structure optimized by DFT (PBE)
Kinematic intensities with the Lorentz-polarization factor, no thermal factor.

Main lines, low angle first (2θ = 10–90°):
2θ (°)	I (rel.)	index
30.38	23	2 0 0
32.85	26	0 0 2
34.64	100	2 0 1
45.35	16	2 0 2
53.98	19	2 2 0
59.80	21	2 0 3
64.64	22	2 2 2
65.74	16	4 0 1
73.09	4	4 0 2
84.77	8	4 0 3

Structure:
Cell lengths 6.7952, 6.7952, 5.4531 Å; angles 90.00, 90.00, 120.00 degrees
Space group P6_3/mmc (No. 194)
Unique sites:
Cd  0.3333  0.6667  0.2500 x2
Sn  0.1673  0.3346  0.7500 x6

=====

(3)
Calculated powder X-ray diffraction pattern
Compound: CdSn3
Radiation: λ = 1.5418 Å (Cu Kα)
Structure: a structure optimized by DFT (PBE)
Kinematic intensities with the Lorentz-polarization factor, no thermal factor.

Main lines, low angle first (2θ = 10–90°):
2θ (°)	I (rel.)	index
32.71	100	1 1 2
34.03	23	0 0 4
39.78	30	2 0 0
53.32	25	2 0 4
57.52	10	2 2 0
60.07	18	1 1 6
67.76	25	3 1 2
68.54	12	2 2 4
85.20	7	2 0 8
87.93	13	3 1 6

Structure:
Cell lengths 4.532, 4.532, 10.539 Å; angles 90.00, 90.00, 90.00 degrees
Space group I4/mmm (No. 139)
Unique sites:
Cd  0.000  0.000  0.000 x2
Sn  0.000  0.000  0.500 x2
Sn  0.000  0.500  0.250 x4